(1)
Computed powder XRD pattern of PuB for Cu Kα, from the PBE geometry in the Materials Project.
Lines closer than 0.1° are merged.

Structural model:
abc: 5.161 5.161 5.161
angles: 90.00 90.00 90.00
Element x y z (fractional)
Pu 0.000 0.000 0.000
Pu 0.000 0.500 0.500
Pu 0.500 0.000 0.500
Pu 0.500 0.500 0.000
B 0.000 0.000 0.500
B 0.000 0.500 0.000
B 0.500 0.000 0.000
B 0.500 0.500 0.500

Peak list (8 most intense, 2θ from 10° to 90°, in order of falling intensity)
- 29.99°, intensity 100
- 34.76°, intensity 59
- 59.39°, intensity 47
- 49.98°, intensity 43
- 83.83°, intensity 20
- 81.25°, intensity 20
- 62.32°, intensity 15
- 73.38°, intensity 7

(2)
Computed powder XRD pattern of Ti2NiS4 for Cu Kα, from the PBE geometry in the Materials Project.
Lines closer than 0.1° are merged.

Structural model:
abc: 12.732 3.408 5.869
angles: 90.00 117.37 90.00
Element x y z (fractional)
Ti 0.244 0.000 0.238
Ti 0.256 0.500 0.762
Ti 0.744 0.500 0.238
Ti 0.756 0.000 0.762
Ni 0.000 0.500 0.500
Ni 0.500 0.000 0.500
S 0.119 0.500 0.947
S 0.123 0.000 0.460
S 0.377 0.500 0.540
S 0.381 0.000 0.053
S 0.619 0.000 0.947
S 0.623 0.500 0.460
S 0.877 0.000 0.540
S 0.881 0.500 0.053

Peak list (10 most intense, 2θ from 10° to 90°, in order of falling intensity)
- 44.43°, intensity 100
- 34.31°, intensity 48
- 17.02°, intensity 40
- 54.06°, intensity 35
- 34.45°, intensity 24
- 30.33°, intensity 21
- 72.32°, intensity 19
- 53.81°, intensity 18
- 44.54°, intensity 18
- 28.14°, intensity 15

(3)
Computed powder XRD pattern of MgVS2 for Cu Kα, from the PBE geometry in the Materials Project.
Lines closer than 0.1° are merged.

Structural model:
abc: 6.717 5.973 6.133
angles: 90.00 97.76 90.00
Element x y z (fractional)
Mg 0.000 0.000 0.000
Mg 0.500 0.500 0.000
V 0.000 0.500 0.000
V 0.500 0.000 0.000
S 0.205 0.500 0.744
S 0.295 0.000 0.256
S 0.705 0.000 0.744
S 0.795 0.500 0.256

Peak list (10 most intense, 2θ from 10° to 90°, in order of falling intensity)
- 14.58°, intensity 100
- 25.88°, intensity 71
- 29.92°, intensity 62
- 19.97°, intensity 34
- 32.37°, intensity 32
- 44.67°, intensity 30
- 37.28°, intensity 29
- 48.52°, intensity 25
- 33.43°, intensity 24
- 23.71°, intensity 20